Diffraction record for Ba3NaIrRuO9. The powder X-ray diffraction pattern is simulated, not measured: it uses a DFT-relaxed cell (GGA-PBE, the Materials Project) and Cu Kα (weighted mean of Kα1 and Kα2).

a b c (Å): 5.9772 5.9772 14.4876
angles (deg): 90.00 90.00 120.00
Space group P6_3mc (No. 186)
Inequivalent atoms, fractional coordinates:
Ba (0.0000, 0.0000, 0.0000) [2 per cell]
Ba (0.3333, 0.6667, 0.1628) [2 per cell]
Ba (0.3333, 0.6667, 0.8397) [2 per cell]
Na (0.0000, 0.0000, 0.2504) [2 per cell]
Ir (0.3333, 0.6667, 0.4154) [2 per cell]
Ru (0.3333, 0.6667, 0.5894) [2 per cell]
O (0.0162, 0.5081, 0.4990) [6 per cell]
O (0.1802, 0.3604, 0.3415) [6 per cell]
O (0.1798, 0.3595, 0.6590) [6 per cell]

Most intense lines, 2θ from 15° to 90°, low angle first:
2θ/deg  I_rel  h k l
17.1  15.2  1 0 0
18.2  24.2  1 0 1
25.2  25.9  1 0 3
29.9  100.0  1 1 0
30.1  40.1  1 0 4
35.5  26.2  1 0 5
39.5  19.4  2 0 3
43.0  26.5  2 0 4
53.1  20.1  3 0 0
62.1  19.0  2 2 0